Diffraction record for In2ReCl. The PXRD pattern is simulated, not measured: it uses a PBE-relaxed structure and Cu Kα, 1.54184 Å.

Atomic structure:
a = 2.9263 Å, b = 5.5724 Å, c = 6.1816 Å
α = 64.87°, β = 89.91°, γ = 74.92°
Fractional coordinates of all 4 atoms:
In 0.0000 0.0000 0.0000
In 0.3603 0.2738 0.4414
Re 0.7382 0.5218 0.0113
Cl 0.1745 0.6527 0.6660

Largest 12 diffraction maxima, low angle first, 10° ≤ 2θ ≤ 80°:
2theta, d_spacing, Rel. int.
16.0, 5.553, 88
18.3, 4.844, 85
32.2, 2.776, 75
33.3, 2.690, 100
34.0, 2.639, 79
37.7, 2.386, 49
37.8, 2.378, 49
41.6, 2.170, 29
41.8, 2.162, 28
44.8, 2.022, 66
46.9, 1.937, 24
47.2, 1.927, 27